Structure and computed powder X-ray diffraction pattern of Ni6Pt2Rh3 (a crystal structure in Alexandria, relaxed with PBE; Cu Kα X-rays).

Most intense lines, 2θ from 10° to 90°, by angle:
2θ 10.07, d 8.782, rel. 64.4, hkl 0 0 1
2θ 20.22, d 4.391, rel. 38.7, hkl 0 0 2
2θ 35.55, d 2.525, rel. 38.3, hkl 0 1 1
2θ 38.37, d 2.346, rel. 83.5, hkl 1 1 -1
2θ 42.33, d 2.135, rel. 97.0, hkl 2 0 3
2θ 43.51, d 2.080, rel. 80.3, hkl 1 0 -4
2θ 44.20, d 2.049, rel. 74.3, hkl 3 0 -1
2θ 44.81, d 2.023, rel. 100.0, hkl 2 1 0
2θ 46.35, d 1.959, rel. 86.2, hkl 0 1 3
2θ 71.43, d 1.321, rel. 30.4, hkl 3 1 -4

Crystal structure
a = 6.3068 Å, b = 2.6363 Å, c = 8.7827 Å
α = 90.00°, β = 90.56°, γ = 90.00°
Space group P2/m (No. 10)
Symmetry-distinct sites (fractional):
Ni (0.0369, 0.0000, 0.1431) [2 per cell]
Ni (0.1342, 0.0000, 0.4038) [2 per cell]
Ni (0.4395, 0.0000, 0.2136) [2 per cell]
Pt (0.2900, 0.5000, 0.9687) [2 per cell]
Rh (0.2112, 0.5000, 0.6632) [2 per cell]
Rh (0.5000, 0.0000, 0.5000) [1 per cell]